Computed powder XRD pattern of Pr4Nd4Th for copper Kα, from a structure optimized by DFT (GGA-PBE).
Intensities are scaled so that the largest is 100.

Main lines, most intense first (2θ = 10–90°):
2θ/deg, d [Å], Rel. int., (hkl)
29.68, 3.010, 100, 3 0 1
34.45, 2.604, 34, 3 3 0
58.79, 1.571, 29, 6 3 1
49.40, 1.845, 24, 3 3 2
34.30, 2.614, 17, 0 0 2
58.60, 1.575, 15, 3 0 3
61.62, 1.505, 12, 6 0 2
49.51, 1.841, 12, 6 0 0
80.19, 1.197, 12, 6 3 3
82.88, 1.165, 11, 6 6 2

Cell and atoms:
Cell lengths 11.0463, 11.0463, 5.2284 Å; angles 90.00, 90.00, 90.00 degrees
Space group I4/mmm (No. 139)
One atom of each set of equivalent atoms:
Pr 0.1621 0.1621 0.0000 x8
Nd 0.0000 0.3300 0.5000 x8
Th 0.0000 0.0000 0.5000 x2